The following is a computed XRD peak list of Ba4Li2Cd3As6. It was derived from a PBE-relaxed structure, using Cu Kα, 1.54184 Å.

a b c (Å): 10.5655 10.5655 17.3403
angles (deg): 90.00 90.00 154.50
Element x y z (fractional)
1 Ba 0.0170 0.9830 0.6215
2 Ba 0.0170 0.9830 0.8785
3 Ba 0.1734 0.8266 0.0703
4 Ba 0.1734 0.8266 0.4297
5 Ba 0.8266 0.1734 0.5703
6 Ba 0.8266 0.1734 0.9297
7 Ba 0.9830 0.0170 0.1215
8 Ba 0.9830 0.0170 0.3785
9 Li 0.1502 0.8498 0.7500
10 Li 0.4368 0.5632 0.7500
11 Li 0.5632 0.4368 0.2500
12 Li 0.8498 0.1502 0.2500
13 Cd 0.2971 0.7029 0.7500
14 Cd 0.3511 0.6489 0.1236
15 Cd 0.3511 0.6489 0.3764
16 Cd 0.6489 0.3511 0.6236
17 Cd 0.6489 0.3511 0.8764
18 Cd 0.7029 0.2971 0.2500
19 As 0.1185 0.8815 0.2500
20 As 0.2196 0.7804 0.6176
21 As 0.2196 0.7804 0.8824
22 As 0.4319 0.5681 0.2500
23 As 0.4395 0.5605 0.5134
24 As 0.4395 0.5605 0.9866
25 As 0.5605 0.4395 0.0134
26 As 0.5605 0.4395 0.4866
27 As 0.5681 0.4319 0.7500
28 As 0.7804 0.2196 0.1176
29 As 0.7804 0.2196 0.3824
30 As 0.8815 0.1185 0.7500

Most intense lines, 2θ = 10–80°, in order of rising 2θ:
2θ = 27.1°, I = 65; 2θ = 28.4°, I = 57; 2θ = 29.4°, I = 64; 2θ = 31.0°, I = 70; 2θ = 32.9°, I = 100; 2θ = 35.7°, I = 56; 2θ = 38.6°, I = 87; 2θ = 62.2°, I = 60